No. 1
# MnCdRu2
Calculated X-ray powder pattern, Cu Ka. Input: a crystal structure in Alexandria, relaxed with GGA-PBE.
No peak broadening, texture or thermal motion is included.

Structural model:
```
data_MnCdRu2
_cell_length_a 2.7367
_cell_length_b 2.7367
_cell_length_c 26.9683
_cell_angle_alpha 90.00
_cell_angle_beta 90.00
_cell_angle_gamma 120.00
_space_group_name_H-M_alt 'R -3 m'
_space_group_IT_number 166
_space_group_name_Hall '-R 3 2"'
loop_
_atom_site_label
_atom_site_type_symbol
_atom_site_fract_x
_atom_site_fract_y
_atom_site_fract_z
Mn1 Mn 0.0000 0.0000 0.0000
Cd1 Cd 0.0000 0.0000 0.5000
Ru1 Ru 0.0000 0.0000 0.2603
```

Largest 6 diffraction maxima, sorted by position, 5° ≤ 2θ ≤ 70°:
two_theta, intensity, hkl
29.82, 17, 0 0 9
40.12, 25, 0 0 12
40.34, 100, 1 0 4
46.86, 57, 0 1 8
68.28, 11, 1 0 16
68.58, 20, 1 1 0

=====

No. 2
# Ga4TcIr
Calculated X-ray powder pattern, Cu Ka. Input: a crystal structure in Alexandria, relaxed with GGA-PBE.
No peak broadening, texture or thermal motion is included.

Structural model:
```
data_Ga4TcIr
_cell_length_a 9.2423
_cell_length_b 9.2806
_cell_length_c 2.8060
_cell_angle_alpha 90.00
_cell_angle_beta 90.00
_cell_angle_gamma 90.00
_space_group_name_H-M_alt 'C m m m'
_space_group_IT_number 65
_space_group_name_Hall '-C 2 2'
loop_
_atom_site_label
_atom_site_type_symbol
_atom_site_fract_x
_atom_site_fract_y
_atom_site_fract_z
Ga1 Ga 0.0000 0.2328 0.0000
Ga2 Ga 0.2263 0.5000 0.5000
Tc1 Tc 0.0000 0.0000 0.5000
Ir1 Ir 0.0000 0.5000 0.0000
```

Largest 6 diffraction maxima, sorted by position, 5° ≤ 2θ ≤ 70°:
two_theta, intensity, hkl
19.17, 100, 2 0 0
34.78, 33, 1 1 1
37.49, 39, 2 0 1
38.81, 31, 0 4 0
38.98, 30, 4 0 0
44.73, 55, 3 1 1

=====

No. 3
# NiMo
Calculated X-ray powder pattern, Cu Ka. Input: a crystal structure in Alexandria, relaxed with GGA-PBE.
No peak broadening, texture or thermal motion is included.

Structural model:
```
data_NiMo
_cell_length_a 2.6504
_cell_length_b 2.6504
_cell_length_c 3.7900
_cell_angle_alpha 90.00
_cell_angle_beta 90.00
_cell_angle_gamma 90.00
_space_group_name_H-M_alt 'P 4/m m m'
_space_group_IT_number 123
_space_group_name_Hall '-P 4 2'
loop_
_atom_site_label
_atom_site_type_symbol
_atom_site_fract_x
_atom_site_fract_y
_atom_site_fract_z
Ni1 Ni 0.0000 0.0000 0.0000
Mo1 Mo 0.5000 0.5000 0.5000
```

Largest 6 diffraction maxima, sorted by position, 5° ≤ 2θ ≤ 70°:
two_theta, intensity, hkl
23.47, 5, 0 0 1
33.82, 4, 1 0 0
41.58, 100, 1 0 1
48.01, 16, 0 0 2
48.58, 31, 1 1 0
54.63, 2, 1 1 1

=====

No. 4
# La2Tl3Hg2
Calculated X-ray powder pattern, Cu Ka. Input: a crystal structure in Alexandria, relaxed with GGA-PBE.
No peak broadening, texture or thermal motion is included.

Structural model:
```
data_La2Tl3Hg2
_cell_length_a 11.4410
_cell_length_b 5.0657
_cell_length_c 7.0222
_cell_angle_alpha 90.00
_cell_angle_beta 94.31
_cell_angle_gamma 90.00
_space_group_name_H-M_alt 'C 1 2/m 1'
_space_group_IT_number 12
loop_
_space_group_symop_operation_xyz
'x,y,z'
'-x,-y,-z'
'-x,y,-z'
'x,-y,z'
'x+1/2,y+1/2,z'
'-x+1/2,-y+1/2,-z'
'-x+1/2,y+1/2,-z'
'x+1/2,-y+1/2,z'
loop_
_atom_site_label
_atom_site_type_symbol
_atom_site_fract_x
_atom_site_fract_y
_atom_site_fract_z
La1 La 0.1202 0.0000 0.2330
Tl1 Tl 0.0000 0.5000 0.5000
Tl2 Tl 0.1856 0.0000 0.7107
Hg1 Hg 0.1126 0.5000 0.9240
```

Largest 6 diffraction maxima, sorted by position, 5° ≤ 2θ ≤ 70°:
two_theta, intensity, hkl
29.37, 29, 3 1 0
31.36, 88, 3 1 -1
32.53, 100, 1 1 2
34.85, 28, 4 0 1
35.44, 50, 0 2 0
38.01, 24, 3 1 -2

=====

No. 5
# Th7Ga2Co2
Calculated X-ray powder pattern, Cu Ka. Input: a crystal structure in Alexandria, relaxed with GGA-PBE.
No peak broadening, texture or thermal motion is included.

Structural model:
```
data_Th7Ga2Co2
_cell_length_a 7.8522
_cell_length_b 11.1815
_cell_length_c 6.8052
_cell_angle_alpha 90.00
_cell_angle_beta 90.00
_cell_angle_gamma 90.00
_space_group_name_H-M_alt 'C m m m'
_space_group_IT_number 65
_space_group_name_Hall '-C 2 2'
loop_
_atom_site_label
_atom_site_type_symbol
_atom_site_fract_x
_atom_site_fract_y
_atom_site_fract_z
Th1 Th 0.0000 0.0000 0.0000
Th2 Th 0.0000 0.5000 0.2445
Th3 Th 0.2500 0.2500 0.2625
Ga1 Ga 0.1627 0.0000 0.5000
Co1 Co 0.0000 0.2688 0.0000
```

Largest 6 diffraction maxima, sorted by position, 5° ≤ 2θ ≤ 70°:
two_theta, intensity, hkl
26.20, 37, 0 0 2
27.77, 100, 2 2 0
29.71, 48, 1 1 2
32.02, 62, 0 4 0
37.58, 30, 1 3 2
38.54, 76, 2 2 2

=====

No. 6
# Tm2ZrTi
Calculated X-ray powder pattern, Cu Ka. Input: a crystal structure in Alexandria, relaxed with GGA-PBE.
No peak broadening, texture or thermal motion is included.

Structural model:
```
data_Tm2ZrTi
_cell_length_a 3.2914
_cell_length_b 3.2914
_cell_length_c 31.4006
_cell_angle_alpha 90.00
_cell_angle_beta 90.00
_cell_angle_gamma 120.00
_space_group_name_H-M_alt 'R 3 m'
_space_group_IT_number 160
_space_group_name_Hall 'R 3 -2"'
loop_
_atom_site_label
_atom_site_type_symbol
_atom_site_fract_x
_atom_site_fract_y
_atom_site_fract_z
Tm1 Tm 0.0000 0.0000 0.0000
Tm2 Tm 0.0000 0.0000 0.1736
Zr1 Zr 0.0000 0.0000 0.7533
Ti1 Ti 0.0000 0.0000 0.5872
```

Largest 6 diffraction maxima, sorted by position, 5° ≤ 2θ ≤ 70°:
two_theta, intensity, hkl
16.94, 40, 0 0 6
34.27, 44, 0 0 12
34.56, 100, 0 1 5
37.38, 65, 1 0 7
55.87, 34, 1 1 0
67.20, 37, 1 1 12

=====

No. 7
# Sn2Au3S6
Calculated X-ray powder pattern, Cu Ka. Input: a crystal structure in Alexandria, relaxed with GGA-PBE.
No peak broadening, texture or thermal motion is included.

Structural model:
```
data_Sn2Au3S6
_cell_length_a 11.3507
_cell_length_b 6.5351
_cell_length_c 15.0703
_cell_angle_alpha 90.00
_cell_angle_beta 104.84
_cell_angle_gamma 90.00
_space_group_name_H-M_alt 'C 1 2/c 1'
_space_group_IT_number 15
loop_
_space_group_symop_operation_xyz
'x,y,z'
'-x,-y,-z'
'-x,y,-z+1/2'
'x,-y,z+1/2'
'x+1/2,y+1/2,z'
'-x+1/2,-y+1/2,-z'
'-x+1/2,y+1/2,-z+1/2'
'x+1/2,-y+1/2,z+1/2'
loop_
_atom_site_label
_atom_site_type_symbol
_atom_site_fract_x
_atom_site_fract_y
_atom_site_fract_z
Sn1 Sn 0.0848 0.2502 0.0038
Au1 Au 0.0000 0.0503 0.2500
Au2 Au 0.1493 0.4006 0.7501
S1 S 0.0576 0.0820 0.4066
S2 S 0.1169 0.4065 0.5937
S3 S 0.2146 0.4255 0.9068
```

Largest 6 diffraction maxima, sorted by position, 5° ≤ 2θ ≤ 70°:
two_theta, intensity, hkl
12.15, 21, 0 0 2
24.44, 31, 0 0 4
27.95, 100, 3 1 0
29.87, 19, 3 1 -3
29.97, 38, 0 2 2
48.21, 20, 3 3 -1

=====

Copy entry 2 word for word.
# Ga4TcIr
Calculated X-ray powder pattern, Cu Ka. Input: a crystal structure in Alexandria, relaxed with GGA-PBE.
No peak broadening, texture or thermal motion is included.

Structural model:
```
data_Ga4TcIr
_cell_length_a 9.2423
_cell_length_b 9.2806
_cell_length_c 2.8060
_cell_angle_alpha 90.00
_cell_angle_beta 90.00
_cell_angle_gamma 90.00
_space_group_name_H-M_alt 'C m m m'
_space_group_IT_number 65
_space_group_name_Hall '-C 2 2'
loop_
_atom_site_label
_atom_site_type_symbol
_atom_site_fract_x
_atom_site_fract_y
_atom_site_fract_z
Ga1 Ga 0.0000 0.2328 0.0000
Ga2 Ga 0.2263 0.5000 0.5000
Tc1 Tc 0.0000 0.0000 0.5000
Ir1 Ir 0.0000 0.5000 0.0000
```

Largest 6 diffraction maxima, sorted by position, 5° ≤ 2θ ≤ 70°:
two_theta, intensity, hkl
19.17, 100, 2 0 0
34.78, 33, 1 1 1
37.49, 39, 2 0 1
38.81, 31, 0 4 0
38.98, 30, 4 0 0
44.73, 55, 3 1 1

=====

> What is the formula in the first record?

MnCdRu2